1.
Diffraction record for KMgTa. The PXRD pattern is calculated, not measured: it uses a DFT-relaxed cell (PBE, Alexandria) and a wavelength of 1.5418 Å.
No peak broadening, texture or thermal motion is included.

Most intense lines, 2θ = 10–90°, sorted by position:
- 2θ 11.8, d 7.492, I 100
- 2θ 17.8, d 4.995, I 45
- 2θ 31.0, d 2.888, I 42
- 2θ 34.9, d 2.573, I 56
- 2θ 35.9, d 2.503, I 47
- 2θ 36.4, d 2.469, I 38
- 2θ 37.9, d 2.374, I 25
- 2θ 39.4, d 2.287, I 29
- 2θ 40.3, d 2.238, I 22
- 2θ 44.4, d 2.041, I 40
- 2θ 51.6, d 1.770, I 17
- 2θ 63.8, d 1.458, I 19

Structure:
Lattice parameters (Å, degrees): 3.540 3.541 14.984 90.00 90.09 90.00
Positions (direct):
K 0.247 0.250 0.140
K 0.753 0.750 0.860
Mg 0.252 0.250 0.659
Mg 0.748 0.750 0.341
Ta 0.249 0.250 0.461
Ta 0.751 0.750 0.539

---

2.
Diffraction record for Rb2NaTlBi2. The PXRD pattern is calculated, not measured: it uses a DFT-relaxed cell (PBE, Alexandria) and a wavelength of 1.5418 Å.
No peak broadening, texture or thermal motion is included.

Most intense lines, 2θ = 10–90°, sorted by position:
- 2θ 10.2, d 8.697, I 70
- 2θ 13.0, d 6.834, I 68
- 2θ 19.6, d 4.534, I 71
- 2θ 23.4, d 3.801, I 26
- 2θ 26.5, d 3.365, I 76
- 2θ 31.3, d 2.862, I 84
- 2θ 31.7, d 2.825, I 78
- 2θ 33.7, d 2.657, I 100
- 2θ 35.3, d 2.543, I 42
- 2θ 45.1, d 2.012, I 34
- 2θ 58.5, d 1.577, I 28
- 2θ 59.3, d 1.558, I 24

Structure:
Lattice parameters (Å, degrees): 10.193 10.193 10.193 137.24 62.86 136.21
Positions (direct):
Rb 0.169 0.245 0.414
Rb 0.331 0.745 0.076
Rb 0.669 0.255 0.924
Rb 0.831 0.755 0.586
Na 0.250 0.250 0.000
Na 0.750 0.750 0.000
Tl 0.250 0.750 0.500
Tl 0.750 0.250 0.500
Bi 0.104 0.730 0.834
Bi 0.396 0.230 0.625
Bi 0.604 0.770 0.375
Bi 0.896 0.270 0.166

---

3.
Diffraction record for Th2Al2C3. The PXRD pattern is calculated, not measured: it uses a DFT-relaxed cell (PBE, Alexandria) and a wavelength of 1.5418 Å.
No peak broadening, texture or thermal motion is included.

Most intense lines, 2θ = 10–90°, sorted by position:
- 2θ 18.0, d 4.917, I 19
- 2θ 22.4, d 3.963, I 100
- 2θ 26.5, d 3.364, I 30
- 2θ 30.3, d 2.951, I 20
- 2θ 30.8, d 2.899, I 33
- 2θ 31.3, d 2.860, I 95
- 2θ 33.9, d 2.643, I 39
- 2θ 34.5, d 2.600, I 69
- 2θ 35.1, d 2.557, I 21
- 2θ 45.0, d 2.015, I 34
- 2θ 50.0, d 1.823, I 41
- 2θ 57.3, d 1.608, I 37

Structure:
Lattice parameters (Å, degrees): 5.429 11.594 3.515 90.00 90.00 90.00
Positions (direct):
Th 0.175 0.150 0.000
Th 0.325 0.650 0.500
Th 0.675 0.350 0.500
Th 0.825 0.850 0.000
Al 0.184 0.415 0.000
Al 0.316 0.915 0.500
Al 0.684 0.085 0.500
Al 0.816 0.585 0.000
C 0.000 0.000 0.500
C 0.168 0.311 0.500
C 0.332 0.811 0.000
C 0.500 0.500 0.000
C 0.668 0.189 0.000
C 0.832 0.689 0.500

---

4.
Diffraction record for Mg16Al12Zn. The PXRD pattern is calculated, not measured: it uses a DFT-relaxed cell (PBE, Alexandria) and a wavelength of 1.5418 Å.
No peak broadening, texture or thermal motion is included.

Most intense lines, 2θ = 10–90°, sorted by position:
- 2θ 11.9, d 7.434, I 14
- 2θ 31.8, d 2.810, I 8
- 2θ 36.3, d 2.478, I 100
- 2θ 40.2, d 2.242, I 26
- 2θ 42.1, d 2.146, I 13
- 2θ 43.9, d 2.062, I 12
- 2θ 47.4, d 1.920, I 6
- 2θ 62.5, d 1.487, I 10
- 2θ 65.2, d 1.431, I 26
- 2θ 70.5, d 1.335, I 6
- 2θ 77.0, d 1.239, I 7
- 2θ 78.2, d 1.222, I 6

Structure:
Lattice parameters (Å, degrees): 9.105 9.105 9.105 109.47 109.47 109.47
Positions (direct):
Mg 0.000 0.000 0.670
Mg 0.000 0.401 0.687
Mg 0.000 0.670 0.000
Mg 0.000 0.687 0.401
Mg 0.285 0.599 0.599
Mg 0.313 0.313 0.715
Mg 0.313 0.715 0.313
Mg 0.330 0.330 0.330
Mg 0.401 0.000 0.687
Mg 0.401 0.687 0.000
Mg 0.599 0.285 0.599
Mg 0.599 0.599 0.285
Mg 0.670 0.000 0.000
Mg 0.687 0.000 0.401
Mg 0.687 0.401 0.000
Mg 0.715 0.313 0.313
Al 0.000 0.186 0.368
Al 0.000 0.368 0.186
Al 0.182 0.814 0.814
Al 0.186 0.000 0.368
Al 0.186 0.368 0.000
Al 0.368 0.000 0.186
Al 0.368 0.186 0.000
Al 0.632 0.632 0.818
Al 0.632 0.818 0.632
Al 0.814 0.182 0.814
Al 0.814 0.814 0.182
Al 0.818 0.632 0.632
Zn 0.000 0.000 0.000

---

5.
Diffraction record for La2NdTm12. The PXRD pattern is calculated, not measured: it uses a DFT-relaxed cell (PBE, Alexandria) and a wavelength of 1.5418 Å.
No peak broadening, texture or thermal motion is included.

Most intense lines, 2θ = 10–90°, sorted by position:
- 2θ 30.4, d 2.940, I 100
- 2θ 31.4, d 2.853, I 41
- 2θ 32.2, d 2.780, I 68
- 2θ 32.4, d 2.760, I 34
- 2θ 32.7, d 2.741, I 64
- 2θ 33.6, d 2.664, I 30
- 2θ 36.3, d 2.472, I 24
- 2θ 46.4, d 1.959, I 25
- 2θ 51.7, d 1.768, I 18
- 2θ 60.1, d 1.540, I 25
- 2θ 61.1, d 1.516, I 18
- 2θ 62.2, d 1.492, I 21

Structure:
Lattice parameters (Å, degrees): 6.590 6.590 24.340 92.22 92.22 115.09
Positions (direct):
La 0.064 0.064 0.274
La 0.431 0.431 0.725
La 0.569 0.569 0.275
La 0.936 0.936 0.726
Nd 0.250 0.250 0.000
Nd 0.750 0.750 0.000
Tm 0.048 0.548 0.201
Tm 0.083 0.581 0.333
Tm 0.140 0.637 0.554
Tm 0.141 0.141 0.571
Tm 0.217 0.217 0.864
Tm 0.232 0.733 0.924
Tm 0.267 0.768 0.076
Tm 0.283 0.283 0.136
Tm 0.356 0.356 0.431
Tm 0.363 0.860 0.446
Tm 0.419 0.917 0.667
Tm 0.452 0.952 0.799
Tm 0.548 0.048 0.201
Tm 0.581 0.083 0.333
Tm 0.637 0.140 0.554
Tm 0.644 0.644 0.569
Tm 0.717 0.717 0.864
Tm 0.733 0.232 0.924
Tm 0.768 0.267 0.076
Tm 0.783 0.783 0.136
Tm 0.859 0.859 0.429
Tm 0.860 0.363 0.446
Tm 0.917 0.419 0.667
Tm 0.952 0.452 0.799

---

6.
Diffraction record for K2Ta4S7. The PXRD pattern is calculated, not measured: it uses a DFT-relaxed cell (PBE, Alexandria) and a wavelength of 1.5418 Å.
No peak broadening, texture or thermal motion is included.

Most intense lines, 2θ = 10–90°, sorted by position:
- 2θ 11.0, d 8.034, I 100
- 2θ 15.7, d 5.645, I 28
- 2θ 25.9, d 3.441, I 30
- 2θ 27.3, d 3.272, I 25
- 2θ 28.7, d 3.115, I 28
- 2θ 30.1, d 2.967, I 34
- 2θ 37.2, d 2.419, I 15
- 2θ 38.2, d 2.355, I 30
- 2θ 39.0, d 2.310, I 41
- 2θ 45.2, d 2.006, I 14
- 2θ 46.7, d 1.944, I 24
- 2θ 53.4, d 1.715, I 18

Structure:
Lattice parameters (Å, degrees): 6.015 6.015 8.034 90.05 90.05 110.20
Positions (direct):
K 0.168 0.832 0.000
K 0.832 0.168 0.000
Ta 0.221 0.779 0.500
Ta 0.499 0.499 0.687
Ta 0.501 0.501 0.313
Ta 0.779 0.221 0.500
S 0.085 0.453 0.705
S 0.158 0.158 0.372
S 0.453 0.085 0.705
S 0.500 0.500 0.000
S 0.547 0.915 0.295
S 0.842 0.842 0.628
S 0.915 0.547 0.295